(1)
Starting from a crystal structure in Alexandria, relaxed with GGA-PBE, the X-ray diffraction stick pattern of Ca2SiO4 was simulated for λ = 1.5418 Å (Cu Kα).

The 6 most intense peaks (10° ≤ 2θ ≤ 80°), by intensity:
Position (°2θ)  I/Imax
31.94  100
31.19  71
31.61  58
33.16  43
46.16  35
56.16  32

Atomic structure:
a = 7.0605 Å, b = 5.4032 Å, c = 9.8325 Å
α = 90.00°, β = 90.03°, γ = 90.00°
Space group P2_1/c (No. 14)
Symmetry-distinct sites (fractional):
Ca: 0.0000 0.0000 0.0000
Ca: 0.2491 0.0094 0.6545
Ca: 0.5000 0.0000 0.0000
Si: 0.2507 0.5095 0.8217
O: 0.0610 0.6456 0.8821
O: 0.2500 0.2118 0.8651
O: 0.2499 0.5532 0.6535
O: 0.4410 0.6449 0.8814

(2)
Starting from a crystal structure in Alexandria, relaxed with GGA-PBE, the X-ray diffraction stick pattern of CeZn6Ni12 was simulated for λ = 1.5418 Å (Cu Kα).

The 6 most intense peaks (10° ≤ 2θ ≤ 80°), by intensity:
Position (°2θ)  I/Imax
37.06  100
38.18  69
48.98  69
44.47  60
45.44  58
50.33  54

Atomic structure:
a = 10.6128 Å, b = 10.6128 Å, c = 7.8927 Å
α = 90.00°, β = 90.00°, γ = 120.00°
Space group R-3m (No. 166, hexagonal axes)
Symmetry-distinct sites (fractional):
Ce: 0.0000 0.0000 0.0000
Zn: 0.0596 0.5298 0.2357
Ni: 0.0000 0.3885 0.5000
Ni: 0.0806 0.1612 0.2802

(3)
Starting from a crystal structure in Alexandria, relaxed with GGA-PBE, the X-ray diffraction stick pattern of Au2I2Br was simulated for λ = 1.5418 Å (Cu Kα).

The 6 most intense peaks (10° ≤ 2θ ≤ 80°), by intensity:
Position (°2θ)  I/Imax
13.51  100
27.63  78
34.22  52
45.97  30
27.21  25
43.11  23

Atomic structure:
a = 7.4197 Å, b = 7.4197 Å, c = 13.9892 Å
α = 90.00°, β = 90.00°, γ = 90.00°
Space group I4_1md (No. 109)
Symmetry-distinct sites (fractional):
Au: 0.0000 0.3082 0.0000
I: 0.0000 0.2338 0.1840
Br: 0.0000 0.0000 0.5986

(4)
Starting from a crystal structure in Alexandria, relaxed with GGA-PBE, the X-ray diffraction stick pattern of LaSmSiI was simulated for λ = 1.5418 Å (Cu Kα).

The 6 most intense peaks (10° ≤ 2θ ≤ 80°), by intensity:
Position (°2θ)  I/Imax
30.51  100
28.30  57
42.03  49
24.19  33
55.12  25
52.82  21

Atomic structure:
a = 4.2998 Å, b = 4.2998 Å, c = 23.7345 Å
α = 90.00°, β = 90.00°, γ = 120.00°
Space group R3m (No. 160, hexagonal axes)
Symmetry-distinct sites (fractional):
La: 0.0000 0.0000 0.0000
Sm: 0.0000 0.0000 0.7983
Si: 0.0000 0.0000 0.4025
I: 0.0000 0.0000 0.2279

(5)
Starting from a crystal structure in Alexandria, relaxed with GGA-PBE, the X-ray diffraction stick pattern of Sm3PbO6 was simulated for λ = 1.5418 Å (Cu Kα).

The 6 most intense peaks (10° ≤ 2θ ≤ 80°), by intensity:
Position (°2θ)  I/Imax
29.07  100
30.58  21
29.36  17
44.01  16
53.42  15
49.23  13

Atomic structure:
a = 9.2353 Å, b = 11.5815 Å, c = 5.8476 Å
α = 90.00°, β = 90.00°, γ = 90.00°
Space group Cmc2_1 (No. 36)
Symmetry-distinct sites (fractional):
Sm: 0.0000 0.0997 0.0000
Sm: 0.1990 0.3918 0.9442
Pb: 0.0000 0.3316 0.4339
O: 0.0000 0.2764 0.8041
O: 0.0000 0.4864 0.1730
O: 0.1610 0.0171 0.7243
O: 0.1637 0.2362 0.2280

(6)
Starting from a crystal structure in Alexandria, relaxed with GGA-PBE, the X-ray diffraction stick pattern of Ac4Zn5Ni2 was simulated for λ = 1.5418 Å (Cu Kα).

The 6 most intense peaks (10° ≤ 2θ ≤ 80°), by intensity:
Position (°2θ)  I/Imax
30.90  100
32.26  90
32.92  68
21.70  54
36.28  46
37.12  44

Atomic structure:
a = 7.3269 Å, b = 4.0840 Å, c = 9.3747 Å
α = 90.00°, β = 95.11°, γ = 90.00°
Space group P2/m (No. 10)
Symmetry-distinct sites (fractional):
Ac: 0.1729 0.0000 0.3611
Ac: 0.2466 0.0000 0.9391
Zn: 0.2002 0.5000 0.6582
Zn: 0.4396 0.5000 0.2040
Zn: 0.5000 0.5000 0.5000
Ni: 0.0658 0.5000 0.1334

(7)
Starting from a crystal structure in Alexandria, relaxed with GGA-PBE, the X-ray diffraction stick pattern of LiCd6Ga was simulated for λ = 1.5418 Å (Cu Kα).

The 6 most intense peaks (10° ≤ 2θ ≤ 80°), by intensity:
Position (°2θ)  I/Imax
38.87  100
36.74  96
37.71  84
37.30  63
35.08  48
25.23  44

Atomic structure:
a = 5.4109 Å, b = 5.6040 Å, c = 5.9290 Å
α = 82.26°, β = 83.13°, γ = 88.63°
Space group P-1 (No. 2)
Symmetry-distinct sites (fractional):
Li: 0.0000 0.0000 0.0000
Cd: 0.0050 0.4656 0.2487
Cd: 0.2576 0.9819 0.4328
Cd: 0.4697 0.2560 0.9656
Ga: 0.5000 0.5000 0.5000

(8)
Starting from a crystal structure in Alexandria, relaxed with GGA-PBE, the X-ray diffraction stick pattern of Sr4LiPd2 was simulated for λ = 1.5418 Å (Cu Kα).

The 6 most intense peaks (10° ≤ 2θ ≤ 80°), by intensity:
Position (°2θ)  I/Imax
29.29  100
12.08  54
36.32  34
36.11  33
39.04  30
10.86  30

Atomic structure:
a = 12.7808 Å, b = 9.2279 Å, c = 8.6299 Å
α = 90.00°, β = 109.30°, γ = 90.00°
Space group Cm (No. 8)
Symmetry-distinct sites (fractional):
Sr: 0.0000 0.0000 0.0000
Sr: 0.0026 0.0000 0.5246
Sr: 0.0221 0.5000 0.0177
Sr: 0.0288 0.5000 0.5283
Sr: 0.2814 0.2695 0.1512
Sr: 0.2961 0.2651 0.6626
Li: 0.2048 0.0000 0.8643
Li: 0.2177 0.0000 0.3704
Pd: 0.0818 0.2457 0.8040
Pd: 0.2270 0.5000 0.8744
Pd: 0.2357 0.5000 0.3820

(9)
Starting from a crystal structure in Alexandria, relaxed with GGA-PBE, the X-ray diffraction stick pattern of Ti2V5W4 was simulated for λ = 1.5418 Å (Cu Kα).

The 6 most intense peaks (10° ≤ 2θ ≤ 80°), by intensity:
Position (°2θ)  I/Imax
40.64  100
41.02  75
40.86  75
16.80  48
19.28  44
22.74  37

Atomic structure:
a = 2.6876 Å, b = 6.8383 Å, c = 9.2278 Å
α = 93.09°, β = 92.00°, γ = 99.96°
Space group P-1 (No. 2)
Symmetry-distinct sites (fractional):
Ti: 0.2299 0.2298 0.1830
V: 0.0000 0.5000 0.0000
V: 0.0134 0.4111 0.7219
V: 0.1831 0.0468 0.6281
W: 0.3941 0.6855 0.5431
W: 0.4775 0.1446 0.9018

(10)
Starting from a crystal structure in Alexandria, relaxed with GGA-PBE, the X-ray diffraction stick pattern of CuTe2Ru was simulated for λ = 1.5418 Å (Cu Kα).

The 6 most intense peaks (10° ≤ 2θ ≤ 80°), by intensity:
Position (°2θ)  I/Imax
26.07  100
43.31  49
50.99  31
43.02  25
79.06  16
51.51  15

Atomic structure:
a = 5.9470 Å, b = 5.9470 Å, c = 11.7410 Å
α = 90.00°, β = 90.00°, γ = 90.00°
Space group I-42d (No. 122)
Symmetry-distinct sites (fractional):
Cu: 0.0000 0.0000 0.0000
Te: 0.2458 0.2500 0.6250
Ru: 0.0000 0.0000 0.5000

(11)
Starting from a crystal structure in Alexandria, relaxed with GGA-PBE, the X-ray diffraction stick pattern of AlSbO was simulated for λ = 1.5418 Å (Cu Kα).

The 6 most intense peaks (10° ≤ 2θ ≤ 80°), by intensity:
Position (°2θ)  I/Imax
27.19  100
27.46  98
25.07  86
37.08  53
45.29  41
43.08  39

Atomic structure:
a = 3.4110 Å, b = 3.4465 Å, c = 10.6560 Å
α = 90.00°, β = 90.00°, γ = 90.00°
Space group Pmmn (No. 59, origin choice 2)
Symmetry-distinct sites (fractional):
Al: 0.2500 0.2500 0.0764
Sb: 0.2500 0.2500 0.3273
O: 0.2500 0.7500 0.0021

(12)
Starting from a crystal structure in Alexandria, relaxed with GGA-PBE, the X-ray diffraction stick pattern of MgBClO2 was simulated for λ = 1.5418 Å (Cu Kα).

The 6 most intense peaks (10° ≤ 2θ ≤ 80°), by intensity:
Position (°2θ)  I/Imax
27.02  100
11.36  42
30.49  36
48.50  24
49.06  16
50.07  15

Atomic structure:
a = 5.8105 Å, b = 3.6438 Å, c = 7.9695 Å
α = 90.00°, β = 102.32°, γ = 90.00°
Space group P2_1/m (No. 11)
Symmetry-distinct sites (fractional):
Mg: 0.1464 0.2500 0.3896
B: 0.3518 0.7500 0.6756
Cl: 0.1928 0.7500 0.8613
O: 0.1814 0.7500 0.5227
O: 0.4214 0.2500 0.2943